No. 1
For CsNaV2Cl8, DFT lattice parameters and positions (PBE) gives the theoretical X-ray diffraction stick pattern in this record (λ = 1.5418 Å (Cu Kα)).
No peak broadening, texture or thermal motion is included.

The 6 most intense peaks (2θ from 5° to 70°), by angle:
19.47 deg, intensity 94; 27.39 deg, intensity 37; 28.07 deg, intensity 100; 32.33 deg, intensity 50; 45.93 deg, intensity 44; 46.81 deg, intensity 41

Structural model:
a b c (Å): 6.7229 6.7229 29.3034
angles (deg): 90.00 90.00 120.00
Space group R-3 (No. 148, hexagonal axes)
Symmetry-distinct sites (fractional):
Cs 0.0000 0.0000 0.0000 [3 per cell]
Na 0.0000 0.0000 0.5000 [3 per cell]
V 0.0000 0.0000 0.2473 [6 per cell]
Cl 0.0000 0.0000 0.3234 [6 per cell]
Cl 0.0085 0.6853 0.7747 [18 per cell]

No. 2
For CsNa2WCl8, DFT lattice parameters and positions (PBE) gives the theoretical X-ray diffraction stick pattern in this record (λ = 1.5418 Å (Cu Kα)).
No peak broadening, texture or thermal motion is included.

The 6 most intense peaks (2θ from 5° to 70°), by angle:
12.13 deg, intensity 31; 12.53 deg, intensity 100; 17.91 deg, intensity 35; 19.05 deg, intensity 38; 19.13 deg, intensity 33; 20.70 deg, intensity 31

Structural model:
a b c (Å): 5.8685 7.7923 10.0712
angles (deg): 69.80 79.57 89.80
Space group P-1 (No. 2)
Symmetry-distinct sites (fractional):
Cs 0.0000 0.0000 0.0000 [1 per cell]
Na 0.4305 0.4671 0.1857 [2 per cell]
W 0.0000 0.5000 0.5000 [1 per cell]
Cl 0.1256 0.4980 0.7124 [2 per cell]
Cl 0.2419 0.2648 0.4845 [2 per cell]
Cl 0.2929 0.7205 0.3566 [2 per cell]
Cl 0.4855 0.2328 0.0483 [2 per cell]

No. 3
For Cs3Nb2Cl9, DFT lattice parameters and positions (PBE) gives the theoretical X-ray diffraction stick pattern in this record (λ = 1.5418 Å (Cu Kα)).
No peak broadening, texture or thermal motion is included.

The 6 most intense peaks (2θ from 5° to 70°), by angle:
23.16 deg, intensity 100; 28.23 deg, intensity 44; 28.63 deg, intensity 47; 30.76 deg, intensity 78; 33.53 deg, intensity 49; 47.35 deg, intensity 48

Structural model:
a b c (Å): 7.6794 7.6794 17.9643
angles (deg): 90.00 90.00 120.00
Space group P6_3/mmc (No. 194)
Symmetry-distinct sites (fractional):
Cs 0.0000 0.0000 0.2500 [2 per cell]
Cs 0.3333 0.6667 0.0717 [4 per cell]
Nb 0.3333 0.6667 0.6755 [4 per cell]
Cl 0.0043 0.5021 0.7500 [6 per cell]
Cl 0.1801 0.3602 0.5987 [12 per cell]

No. 4
For CsNb4Cl7, DFT lattice parameters and positions (PBE) gives the theoretical X-ray diffraction stick pattern in this record (λ = 1.5418 Å (Cu Kα)).
No peak broadening, texture or thermal motion is included.

The 6 most intense peaks (2θ from 5° to 70°), by angle:
10.82 deg, intensity 71; 17.93 deg, intensity 53; 21.70 deg, intensity 57; 22.23 deg, intensity 90; 30.39 deg, intensity 86; 39.21 deg, intensity 100

Structural model:
a b c (Å): 16.3536 6.2115 5.8834
angles (deg): 90.00 90.00 90.00
Space group Pmn2_1 (No. 31)
Symmetry-distinct sites (fractional):
Cs 0.0000 0.1926 0.0000 [2 per cell]
Nb 0.1545 0.7174 0.6442 [4 per cell]
Nb 0.2392 0.3945 0.5812 [4 per cell]
Cl 0.0000 0.6310 0.5446 [2 per cell]
Cl 0.1054 0.6808 0.0352 [4 per cell]
Cl 0.1299 0.1171 0.4836 [4 per cell]
Cl 0.2108 0.2167 0.9679 [4 per cell]

No. 5
For CsNbCl6, DFT lattice parameters and positions (PBE) gives the theoretical X-ray diffraction stick pattern in this record (λ = 1.5418 Å (Cu Kα)).
No peak broadening, texture or thermal motion is included.

The 6 most intense peaks (2θ from 5° to 70°), by angle:
17.10 deg, intensity 100; 23.42 deg, intensity 77; 29.45 deg, intensity 27; 30.55 deg, intensity 49; 37.72 deg, intensity 49; 43.24 deg, intensity 35

Structural model:
a b c (Å): 7.0911 7.0911 19.3408
angles (deg): 90.00 90.00 120.00
Space group R-3m (No. 166, hexagonal axes)
Symmetry-distinct sites (fractional):
Cs 0.0000 0.0000 0.0000 [3 per cell]
Nb 0.0000 0.0000 0.5000 [3 per cell]
Cl 0.0163 0.5081 0.0955 [18 per cell]

No. 6
For CsNbCl6, DFT lattice parameters and positions (PBE) gives the theoretical X-ray diffraction stick pattern in this record (λ = 1.5418 Å (Cu Kα)).
No peak broadening, texture or thermal motion is included.

The 6 most intense peaks (2θ from 5° to 70°), by angle:
17.22 deg, intensity 100; 17.88 deg, intensity 60; 22.36 deg, intensity 34; 30.27 deg, intensity 61; 30.95 deg, intensity 48; 31.47 deg, intensity 47

Structural model:
a b c (Å): 12.6332 6.7563 12.7955
angles (deg): 90.00 102.57 90.00
Space group C2/c (No. 15)
Symmetry-distinct sites (fractional):
Cs 0.0000 0.1160 0.2500 [4 per cell]
Nb 0.2500 0.2500 0.0000 [4 per cell]
Cl 0.0854 0.3811 0.8949 [8 per cell]
Cl 0.1537 0.0358 0.5370 [8 per cell]
Cl 0.2146 0.4099 0.1553 [8 per cell]

No. 7
For Cs3NbCl7, DFT lattice parameters and positions (PBE) gives the theoretical X-ray diffraction stick pattern in this record (λ = 1.5418 Å (Cu Kα)).
No peak broadening, texture or thermal motion is included.

The 6 most intense peaks (2θ from 5° to 70°), by angle:
20.97 deg, intensity 100; 22.67 deg, intensity 29; 24.25 deg, intensity 89; 27.20 deg, intensity 50; 31.05 deg, intensity 91; 34.55 deg, intensity 41

Structural model:
a b c (Å): 10.3638 10.3638 7.3573
angles (deg): 90.00 90.00 90.00
Space group P4/mbm (No. 127)
Symmetry-distinct sites (fractional):
Cs 0.0000 0.0000 0.0000 [2 per cell]
Cs 0.1804 0.3196 0.5000 [4 per cell]
Nb 0.0000 0.5000 0.0000 [2 per cell]
Cl 0.0000 0.0000 0.5000 [2 per cell]
Cl 0.1161 0.6161 0.2364 [8 per cell]
Cl 0.1669 0.3331 0.0000 [4 per cell]

No. 8
For Cs2NbCl5O, DFT lattice parameters and positions (PBE) gives the theoretical X-ray diffraction stick pattern in this record (λ = 1.5418 Å (Cu Kα)).
No peak broadening, texture or thermal motion is included.

The 6 most intense peaks (2θ from 5° to 70°), by angle:
14.58 deg, intensity 51; 23.63 deg, intensity 100; 29.41 deg, intensity 77; 34.94 deg, intensity 56; 42.62 deg, intensity 45; 48.35 deg, intensity 37

Structural model:
a b c (Å): 7.2641 7.2641 11.0706
angles (deg): 90.00 90.00 90.00
Space group I4mm (No. 107)
Symmetry-distinct sites (fractional):
Cs 0.0000 0.5000 0.0000 [4 per cell]
Nb 0.0000 0.0000 0.2680 [2 per cell]
Cl 0.0000 0.0000 0.0262 [2 per cell]
Cl 0.2365 0.2365 0.2478 [8 per cell]
O 0.0000 0.0000 0.4270 [2 per cell]

No. 9
For Cs2Nb6PbCl18, DFT lattice parameters and positions (PBE) gives the theoretical X-ray diffraction stick pattern in this record (λ = 1.5418 Å (Cu Kα)).
No peak broadening, texture or thermal motion is included.

The 6 most intense peaks (2θ from 5° to 70°), by angle:
12.39 deg, intensity 100; 16.91 deg, intensity 87; 20.75 deg, intensity 72; 25.60 deg, intensity 58; 32.64 deg, intensity 73; 39.00 deg, intensity 83

Structural model:
a b c (Å): 9.7652 9.7652 26.7207
angles (deg): 90.00 90.00 120.00
Space group R-3 (No. 148, hexagonal axes)
Symmetry-distinct sites (fractional):
Cs 0.0000 0.0000 0.2244 [6 per cell]
Nb 0.0375 0.1901 0.0449 [18 per cell]
Pb 0.0000 0.0000 0.5000 [3 per cell]
Cl 0.0162 0.2555 0.4365 [18 per cell]
Cl 0.0438 0.2238 0.8940 [18 per cell]
Cl 0.0649 0.2644 0.6662 [18 per cell]

No. 10
For CsRb2NbCl8, DFT lattice parameters and positions (PBE) gives the theoretical X-ray diffraction stick pattern in this record (λ = 1.5418 Å (Cu Kα)).
No peak broadening, texture or thermal motion is included.

The 6 most intense peaks (2θ from 5° to 70°), by angle:
16.50 deg, intensity 79; 21.04 deg, intensity 98; 22.23 deg, intensity 78; 30.09 deg, intensity 100; 31.13 deg, intensity 40; 34.68 deg, intensity 36

Structural model:
a b c (Å): 6.0142 7.7414 10.2856
angles (deg): 90.00 89.95 72.79
Space group P-1 (No. 2)
Symmetry-distinct sites (fractional):
Cs 0.0000 0.0000 0.0000 [1 per cell]
Rb 0.4983 0.4999 0.2299 [2 per cell]
Nb 0.0000 0.0000 0.5000 [1 per cell]
Cl 0.0944 0.1835 0.3347 [2 per cell]
Cl 0.0939 0.1840 0.6650 [2 per cell]
Cl 0.3890 0.8034 0.5001 [2 per cell]
Cl 0.4055 0.2678 0.9996 [2 per cell]

No. 11
For Cs5NbS4Cl2, DFT lattice parameters and positions (PBE) gives the theoretical X-ray diffraction stick pattern in this record (λ = 1.5418 Å (Cu Kα)).
No peak broadening, texture or thermal motion is included.

The 6 most intense peaks (2θ from 5° to 70°), by angle:
21.46 deg, intensity 48; 21.61 deg, intensity 85; 22.74 deg, intensity 51; 24.73 deg, intensity 97; 31.46 deg, intensity 100; 42.99 deg, intensity 42

Structural model:
a b c (Å): 10.3171 11.9950 8.2821
angles (deg): 90.00 90.00 90.00
Space group Amm2 (No. 38)
Symmetry-distinct sites (fractional):
Cs 0.0000 0.0000 0.0000 [2 per cell]
Cs 0.2636 0.1926 0.4833 [8 per cell]
Nb 0.5000 0.0000 0.9658 [2 per cell]
S 0.3181 0.0000 0.1274 [4 per cell]
S 0.5000 0.1530 0.7991 [4 per cell]
Cl 0.0000 0.2298 0.7384 [4 per cell]